# 1
# Ca4InGa3
Computed XRD peak list, Cu Kα X-rays. Input: a PBE-relaxed structure.

Structure:
Cell: 4.1531 4.5250 11.6414 Å, 90.00 90.00 90.00°
Positions (direct):
Ca 0.0000 0.0000 0.0000
Ca 0.0000 0.5000 0.2830
Ca 0.5000 0.0000 0.4859
Ca 0.5000 0.5000 0.7917
In 0.0000 0.0000 0.7084
Ga 0.0000 0.5000 0.5630
Ga 0.5000 0.0000 0.2073
Ga 0.5000 0.5000 0.0730

Largest 8 diffraction maxima, low angle first, 2θ from 5° to 70°:
2θ/deg	Rel. int.	h k l
15.2	44	0 0 2
22.7	49	1 0 1
30.2	96	1 1 1
31.6	33	1 0 3
36.7	62	0 1 4
37.4	100	1 1 3
39.8	36	0 2 0
58.3	31	2 1 4



# 2
# CaInGa3
Computed XRD peak list, Cu Kα X-rays. Input: a PBE-relaxed structure.

Structure:
Cell: 5.8940 6.2973 6.1746 Å, 90.00 90.00 90.00°
Positions (direct):
Ca 0.0000 0.2369 0.0000
Ca 0.5000 0.7631 0.5000
In 0.0000 0.5999 0.6500
In 0.5000 0.4001 0.1500
Ga 0.0000 0.9048 0.3479
Ga 0.2474 0.2342 0.5087
Ga 0.2526 0.7658 0.0087
Ga 0.5000 0.0952 0.8479
Ga 0.7474 0.7658 0.0087
Ga 0.7526 0.2342 0.5087

Largest 8 diffraction maxima, low angle first, 2θ from 5° to 70°:
2θ/deg	Rel. int.	h k l
20.8	20	1 0 1
25.2	68	1 1 1
31.9	27	0 2 1
32.3	27	0 1 2
36.7	100	2 1 1
40.9	24	0 2 2
43.8	27	1 2 2
45.9	21	1 3 0



Repeat the first record exactly.
# Ca4InGa3
Computed XRD peak list, Cu Kα X-rays. Input: a PBE-relaxed structure.

Structure:
Cell: 4.1531 4.5250 11.6414 Å, 90.00 90.00 90.00°
Positions (direct):
Ca 0.0000 0.0000 0.0000
Ca 0.0000 0.5000 0.2830
Ca 0.5000 0.0000 0.4859
Ca 0.5000 0.5000 0.7917
In 0.0000 0.0000 0.7084
Ga 0.0000 0.5000 0.5630
Ga 0.5000 0.0000 0.2073
Ga 0.5000 0.5000 0.0730

Largest 8 diffraction maxima, low angle first, 2θ from 5° to 70°:
2θ/deg	Rel. int.	h k l
15.2	44	0 0 2
22.7	49	1 0 1
30.2	96	1 1 1
31.6	33	1 0 3
36.7	62	0 1 4
37.4	100	1 1 3
39.8	36	0 2 0
58.3	31	2 1 4